Record 1
Starting from the GGA-PBE geometry in OQMD, the powder diffractogram of La2HoMg3Tl2In was computed for Cu Kα (λ = 1.5418 Å).
No peak broadening, texture or thermal motion is included.

Structural model:
a b c (Å): 4.7839 13.2238 7.7946
angles (deg): 90.00 90.00 90.00
Space group Amm2 (No. 38)
Asymmetric unit:
La 0.0000 0.2156 0.0000 (multiplicity 4)
Ho 0.0000 0.0000 0.3572 (multiplicity 2)
Mg 0.5000 0.0000 0.0216 (multiplicity 2)
Mg 0.5000 0.1203 0.6623 (multiplicity 4)
Tl 0.5000 0.1603 0.2850 (multiplicity 4)
In 0.0000 0.0000 0.7729 (multiplicity 2)

Peak list (12 most intense, 2θ = 10–90°, in order of rising 2θ)
| 2theta | d [Å] | I (rel.) | h k l |
| --- | --- | --- | --- |
| 13.18 | 6.715 | 41 | 0 1 1 |
| 22.82 | 3.897 | 39 | 0 0 2 |
| 23.18 | 3.837 | 38 | 0 3 1 |
| 29.56 | 3.022 | 38 | 1 0 2 |
| 29.85 | 2.993 | 86 | 1 3 1 |
| 32.58 | 2.748 | 100 | 1 2 2 |
| 32.93 | 2.720 | 65 | 1 4 0 |
| 37.60 | 2.392 | 44 | 2 0 0 |
| 40.06 | 2.251 | 23 | 1 1 3 |
| 40.29 | 2.238 | 25 | 0 3 3 |
| 63.13 | 1.473 | 26 | 3 3 1 |
| 63.95 | 1.456 | 20 | 1 7 3 |

***

Record 2
Starting from the GGA-PBE geometry in OQMD, the powder diffractogram of Cu7Ag3 was computed for Cu Kα (λ = 1.5418 Å).
No peak broadening, texture or thermal motion is included.

Structural model:
a b c (Å): 8.5733 3.7463 8.5029
angles (deg): 90.00 90.04 90.00
Space group C2/m (No. 12)
Asymmetric unit:
Cu 0.0000 0.0000 0.0000 (multiplicity 2)
Cu 0.1061 0.0000 0.2969 (multiplicity 4)
Cu 0.1993 0.5000 0.1012 (multiplicity 4)
Cu 0.2059 0.0000 0.5993 (multiplicity 4)
Ag 0.0000 0.5000 0.5000 (multiplicity 2)
Ag 0.1005 0.5000 0.8067 (multiplicity 4)

Peak list (12 most intense, 2θ = 10–90°, in order of rising 2θ)
| 2theta | d [Å] | I (rel.) | h k l |
| --- | --- | --- | --- |
| 41.11 | 2.195 | 100 | 3 1 -1 |
| 41.31 | 2.185 | 100 | 1 1 3 |
| 47.52 | 1.913 | 32 | 4 0 2 |
| 47.74 | 1.905 | 32 | 2 0 -4 |
| 48.61 | 1.873 | 30 | 0 2 0 |
| 70.33 | 1.338 | 19 | 4 2 2 |
| 70.51 | 1.336 | 18 | 2 2 -4 |
| 83.90 | 1.153 | 11 | 7 1 1 |
| 84.26 | 1.149 | 22 | 5 1 5 |
| 84.62 | 1.145 | 11 | 1 1 -7 |
| 85.65 | 1.134 | 11 | 3 3 -1 |
| 85.78 | 1.133 | 11 | 1 3 3 |

***

Record 3
Starting from the GGA-PBE geometry in OQMD, the powder diffractogram of Nd2Co7 was computed for Cu Kα (λ = 1.5418 Å).
No peak broadening, texture or thermal motion is included.

Structural model:
a b c (Å): 5.0178 5.0178 24.3837
angles (deg): 90.00 90.00 120.00
Space group P6_3/mmc (No. 194)
Asymmetric unit:
Nd 0.3333 0.6667 0.0275 (multiplicity 4)
Nd 0.3333 0.6667 0.1730 (multiplicity 4)
Co 0.0000 0.0000 0.0000 (multiplicity 2)
Co 0.0000 0.0000 0.1687 (multiplicity 4)
Co 0.1653 0.3305 0.5882 (multiplicity 12)
Co 0.1663 0.3326 0.7500 (multiplicity 6)
Co 0.3333 0.6667 0.6685 (multiplicity 4)

Peak list (12 most intense, 2θ = 10–90°, in order of rising 2θ)
| 2theta | d [Å] | I (rel.) | h k l |
| --- | --- | --- | --- |
| 30.11 | 2.968 | 10 | 1 0 6 |
| 32.96 | 2.718 | 60 | 1 0 7 |
| 35.79 | 2.509 | 47 | 1 1 0 |
| 41.56 | 2.173 | 12 | 2 0 0 |
| 41.74 | 2.164 | 31 | 2 0 1 |
| 42.34 | 2.135 | 100 | 1 1 6 |
| 44.59 | 2.032 | 15 | 0 0 12 |
| 45.71 | 1.985 | 13 | 2 0 5 |
| 62.53 | 1.485 | 21 | 2 1 7 |
| 65.77 | 1.420 | 18 | 2 0 13 |
| 68.81 | 1.364 | 22 | 3 0 6 |
| 75.84 | 1.254 | 20 | 2 2 0 |

***

Record 4
Starting from the GGA-PBE geometry in OQMD, the powder diffractogram of HoErZn2Ir4 was computed for Cu Kα (λ = 1.5418 Å).
No peak broadening, texture or thermal motion is included.

Structural model:
a b c (Å): 4.5626 4.5626 6.4645
angles (deg): 90.00 90.00 90.00
Space group P4/mmm (No. 123)
Asymmetric unit:
Ho 0.0000 0.0000 0.0000 (multiplicity 1)
Er 0.5000 0.5000 0.5000 (multiplicity 1)
Zn 0.0000 0.0000 0.5000 (multiplicity 1)
Zn 0.5000 0.5000 0.0000 (multiplicity 1)
Ir 0.0000 0.5000 0.2504 (multiplicity 4)

Peak list (12 most intense, 2θ = 10–90°, in order of rising 2θ)
| 2theta | d [Å] | I (rel.) | h k l |
| --- | --- | --- | --- |
| 23.87 | 3.728 | 6 | 1 0 1 |
| 27.63 | 3.228 | 7 | 1 1 0 |
| 39.48 | 2.283 | 100 | 2 0 0 |
| 46.66 | 1.947 | 3 | 2 1 1 |
| 48.87 | 1.864 | 2 | 2 0 2 |
| 56.98 | 1.616 | 6 | 0 0 4 |
| 57.10 | 1.613 | 11 | 2 2 0 |
| 62.73 | 1.481 | 1 | 3 0 1 |
| 64.53 | 1.444 | 2 | 2 2 2 |
| 64.59 | 1.443 | 1 | 3 1 0 |
| 71.60 | 1.318 | 35 | 3 1 2 |
| 84.98 | 1.141 | 11 | 4 0 0 |

***

Record 5
Starting from the GGA-PBE geometry in OQMD, the powder diffractogram of Ge3Pd was computed for Cu Kα (λ = 1.5418 Å).
No peak broadening, texture or thermal motion is included.

Structural model:
a b c (Å): 15.8571 5.9958 6.0371
angles (deg): 90.00 90.00 90.00
Space group Cmce (No. 64)
Asymmetric unit:
Ge 0.0000 0.1521 0.1545 (multiplicity 8)
Ge 0.1735 0.1589 0.8379 (multiplicity 16)
Pd 0.0897 0.0000 0.5000 (multiplicity 8)

Peak list (12 most intense, 2θ = 10–90°, in order of rising 2θ)
| 2theta | d [Å] | I (rel.) | h k l |
| --- | --- | --- | --- |
| 21.63 | 4.109 | 20 | 1 1 1 |
| 35.30 | 2.543 | 100 | 5 1 1 |
| 37.45 | 2.402 | 66 | 3 1 2 |
| 40.58 | 2.223 | 16 | 4 2 1 |
| 42.50 | 2.127 | 16 | 0 2 2 |
| 45.36 | 1.999 | 14 | 7 1 1 |
| 45.62 | 1.988 | 23 | 6 0 2 |
| 45.77 | 1.982 | 23 | 6 2 0 |
| 48.03 | 1.894 | 30 | 1 1 3 |
| 48.31 | 1.884 | 32 | 1 3 1 |
| 57.82 | 1.595 | 13 | 8 2 1 |
| 73.10 | 1.295 | 21 | 5 3 3 |

***

Record 6
Starting from the GGA-PBE geometry in OQMD, the powder diffractogram of Dy2TmLu4Ni2Te2 was computed for Cu Kα (λ = 1.5418 Å).
No peak broadening, texture or thermal motion is included.

Structural model:
a b c (Å): 3.8099 15.3328 9.4547
angles (deg): 90.00 90.00 90.00
Space group Imm2 (No. 44)
Asymmetric unit:
Dy 0.0000 0.1854 0.0000 (multiplicity 4)
Tm 0.0000 0.5000 0.6242 (multiplicity 2)
Lu 0.0000 0.1461 0.3521 (multiplicity 4)
Lu 0.0000 0.3655 0.2053 (multiplicity 4)
Ni 0.0000 0.2635 0.6937 (multiplicity 4)
Te 0.0000 0.0000 0.8556 (multiplicity 2)
Te 0.0000 0.5000 0.9628 (multiplicity 2)

Peak list (12 most intense, 2θ = 10–90°, in order of rising 2θ)
| 2theta | d [Å] | I (rel.) | h k l |
| --- | --- | --- | --- |
| 25.20 | 3.534 | 15 | 1 0 1 |
| 29.24 | 3.055 | 20 | 1 3 0 |
| 30.68 | 2.914 | 73 | 1 1 2 |
| 33.40 | 2.683 | 79 | 0 3 3 |
| 34.52 | 2.598 | 100 | 1 4 1 |
| 34.97 | 2.566 | 50 | 1 3 2 |
| 35.12 | 2.555 | 23 | 0 6 0 |
| 37.02 | 2.428 | 21 | 1 0 3 |
| 38.90 | 2.315 | 15 | 1 2 3 |
| 47.74 | 1.905 | 28 | 2 0 0 |
| 51.91 | 1.762 | 27 | 1 7 2 |
| 59.51 | 1.553 | 35 | 2 3 3 |